The following is a computed X-ray powder pattern of HoEr4Ag. It was derived from a DFT-relaxed cell (PBE, Alexandria), using Cu Kα X-rays.

Top 10 peaks for 2θ from 5° to 70°, low angle first:
- 2θ 28.53, I 7, (1 0 2)
- 2θ 32.06, I 100, (1 0 3)
- 2θ 36.21, I 41, (1 1 0)
- 2θ 39.06, I 10, (0 0 6)
- 2θ 49.34, I 8, (1 1 5)
- 2θ 52.15, I 14, (2 0 0)
- 2θ 54.32, I 15, (1 1 6)
- 2θ 59.60, I 9, (1 0 8)
- 2θ 62.54, I 29, (2 1 3)
- 2θ 67.04, I 8, (2 0 6)

Structure:
```
data_HoEr4Ag
_chemical_formula_sum 'Ho1 Er4 Ag1'
_cell_length_a 3.508
_cell_length_b 3.508
_cell_length_c 13.837
_cell_angle_alpha 90.00
_cell_angle_beta 90.00
_cell_angle_gamma 90.00
_space_group_name_H-M_alt 'P 1'
_space_group_IT_number 1
loop_
_space_group_symop_operation_xyz
'x,y,z'
loop_
_atom_site_label
_atom_site_fract_x
_atom_site_fract_y
_atom_site_fract_z
_atom_site_occupancy
Ho1 0.000 0.000 0.000 1
Er1 0.000 0.000 0.362 1
Er2 0.000 0.000 0.638 1
Er3 0.500 0.500 0.180 1
Er4 0.500 0.500 0.820 1
Ag1 0.500 0.500 0.500 1
```